Entry 1:
Theoretical powder diffractogram
Compound: Ce3Pm2Sn3
Radiation: a wavelength of 1.5418 Å
Structure: a crystal structure in Alexandria, relaxed with GGA-PBE
Kinematic intensities with the Lorentz-polarization factor, no thermal factor.

Principal peaks in the range 2θ = 15–90°, sorted by position:
- 2θ = 29.40°, intensity 323
- 2θ = 32.36°, intensity 1000
- 2θ = 32.96°, intensity 824
- 2θ = 33.45°, intensity 448
- 2θ = 47.67°, intensity 205
- 2θ = 50.71°, intensity 285

Structure:
```
Ce3Pm2Sn3
1.0
9.2803 0.0000 0.0000
-4.6401 8.0369 0.0000
0.0000 0.0000 6.7049
Ce Pm Sn
6 4 6
Cartesian
-1.1271 1.9521 1.6762 Ce
-3.5131 6.0848 5.0286 Ce
2.2541 0.0000 1.6762 Ce
1.1271 1.9521 5.0286 Ce
7.0261 0.0000 5.0286 Ce
3.5131 6.0848 1.6762 Ce
0.0000 5.3580 0.0000 Pm
0.0000 5.3580 3.3524 Pm
4.6401 2.6790 0.0000 Pm
4.6401 2.6790 3.3524 Pm
-1.8270 3.1645 5.0286 Sn
-2.8131 4.8725 1.6762 Sn
3.6540 0.0000 5.0286 Sn
1.8270 3.1645 1.6762 Sn
5.6262 0.0000 1.6762 Sn
2.8131 4.8725 5.0286 Sn
```



Entry 2:
Theoretical powder diffractogram
Compound: CePm8Sn5
Radiation: a wavelength of 1.5418 Å
Structure: a crystal structure in Alexandria, relaxed with GGA-PBE
Kinematic intensities with the Lorentz-polarization factor, no thermal factor.

Principal peaks in the range 2θ = 15–90°, sorted by position:
- 2θ = 29.54°, intensity 1000
- 2θ = 35.11°, intensity 710
- 2θ = 46.53°, intensity 175
- 2θ = 48.54°, intensity 219
- 2θ = 59.60°, intensity 262
- 2θ = 72.66°, intensity 154

Structure:
```
CePm8Sn5
1.0
-4.7823 4.7823 4.7795
4.7823 -4.7823 4.7795
4.7823 4.7823 -4.7795
Ce Pm Sn
1 8 5
Cartesian
0.0000 0.0000 0.0000 Ce
6.3417 0.6666 -0.4604 Pm
1.7873 -0.7692 3.0087 Pm
0.6666 3.2230 0.4604 Pm
2.9950 5.5516 -1.7707 Pm
4.0131 2.9950 1.7707 Pm
4.1158 1.5594 5.2398 Pm
0.7692 1.7873 6.5502 Pm
-1.5594 4.1158 4.3191 Pm
3.5424 2.4302 -1.2977 Sn
4.7823 0.0000 2.3897 Sn
2.3521 -1.2399 6.0772 Sn
1.2399 2.3521 3.4817 Sn
2.4302 6.0222 1.2977 Sn
```



Entry 3:
Theoretical powder diffractogram
Compound: Ce3Pm3Sn5
Radiation: a wavelength of 1.5418 Å
Structure: a crystal structure in Alexandria, relaxed with GGA-PBE
Kinematic intensities with the Lorentz-polarization factor, no thermal factor.

Principal peaks in the range 2θ = 15–90°, sorted by position:
- 2θ = 15.92°, intensity 484
- 2θ = 27.11°, intensity 723
- 2θ = 28.98°, intensity 377
- 2θ = 32.15°, intensity 486
- 2θ = 32.96°, intensity 361
- 2θ = 36.80°, intensity 1000

Structure:
```
Ce3Pm3Sn5
1.0
9.4134 0.0000 0.0000
-4.7067 8.1522 0.0000
0.0000 0.0000 5.5676
Ce Pm Sn
3 3 5
Cartesian
-2.3852 4.1313 0.0000 Ce
2.3215 4.0210 0.0000 Ce
4.7704 0.0000 0.0000 Ce
-1.3274 2.2991 2.7838 Pm
2.6548 0.0000 2.7838 Pm
3.3793 5.8532 2.7838 Pm
-3.0112 5.2156 2.7838 Sn
0.0000 5.4348 2.7838 Sn
1.6955 2.9366 2.7838 Sn
6.0225 0.0000 2.7838 Sn
4.7067 2.7174 2.7838 Sn
```



Entry 4:
Theoretical powder diffractogram
Compound: Ce8PmSn6
Radiation: a wavelength of 1.5418 Å
Structure: a crystal structure in Alexandria, relaxed with GGA-PBE
Kinematic intensities with the Lorentz-polarization factor, no thermal factor.

Principal peaks in the range 2θ = 15–90°, sorted by position:
- 2θ = 23.36°, intensity 248
- 2θ = 32.97°, intensity 1000
- 2θ = 33.58°, intensity 802
- 2θ = 43.47°, intensity 212
- 2θ = 47.77°, intensity 299
- 2θ = 59.26°, intensity 314

Structure:
```
Ce8PmSn6
1.0
4.7058 2.7169 6.4811
-4.7058 2.7169 6.4811
0.0000 -5.4338 6.4811
Ce Pm Sn
8 1 6
Cartesian
-1.6018 -2.7570 7.8405 Ce
0.0000 0.0000 3.2229 Ce
-3.1885 0.0087 11.6029 Ce
-1.5867 2.7657 7.8405 Ce
1.5867 -2.7657 11.6029 Ce
3.1885 -0.0087 7.8405 Ce
0.0000 0.0000 16.2205 Ce
1.6018 2.7570 11.6029 Ce
0.0000 0.0000 9.7217 Pm
-3.0957 0.0035 8.3602 Sn
-1.5509 -2.6792 11.0832 Sn
1.5448 -2.6827 8.3602 Sn
-1.5448 2.6827 11.0832 Sn
1.5509 2.6792 8.3602 Sn
3.0957 -0.0035 11.0832 Sn
```



Entry 5:
Theoretical powder diffractogram
Compound: Ce3Pm2Sn4
Radiation: a wavelength of 1.5418 Å
Structure: a crystal structure in Alexandria, relaxed with GGA-PBE
Kinematic intensities with the Lorentz-polarization factor, no thermal factor.

Principal peaks in the range 2θ = 15–90°, sorted by position:
- 2θ = 29.71°, intensity 546
- 2θ = 30.05°, intensity 809
- 2θ = 30.62°, intensity 594
- 2θ = 31.85°, intensity 384
- 2θ = 32.62°, intensity 1000
- 2θ = 50.47°, intensity 258

Structure:
```
Ce3Pm2Sn4
1.0
3.4056 -8.8447 0.0000
3.4056 8.8447 0.0000
0.0000 0.0000 9.2796
Ce Pm Sn
6 4 8
Cartesian
0.0000 0.0000 0.0000 Ce
1.7028 3.6662 2.3199 Ce
1.7028 -3.6662 6.9597 Ce
3.4056 0.0000 4.6398 Ce
5.1084 3.6662 2.3199 Ce
5.1084 -3.6662 6.9597 Ce
3.4056 6.9291 3.8461 Pm
3.4056 1.9155 8.4859 Pm
3.4056 -1.9155 0.7937 Pm
3.4056 -6.9291 5.4335 Pm
3.4056 5.6877 0.5473 Sn
1.7028 0.5646 2.3199 Sn
1.7028 -0.5646 6.9597 Sn
3.4056 3.1570 5.1872 Sn
3.4056 -3.1570 4.0925 Sn
5.1084 0.5646 2.3199 Sn
5.1084 -0.5646 6.9597 Sn
3.4056 -5.6877 8.7323 Sn
```



Entry 6:
Theoretical powder diffractogram
Compound: SrCe2Pm
Radiation: a wavelength of 1.5418 Å
Structure: a crystal structure in Alexandria, relaxed with GGA-PBE
Kinematic intensities with the Lorentz-polarization factor, no thermal factor.

Principal peaks in the range 2θ = 15–90°, sorted by position:
- 2θ = 27.63°, intensity 710
- 2θ = 29.43°, intensity 1000
- 2θ = 31.31°, intensity 720
- 2θ = 37.35°, intensity 920
- 2θ = 51.51°, intensity 445
- 2θ = 59.45°, intensity 492

Structure:
```
SrCe2Pm
1.0
3.5486 0.0000 0.0000
-1.7743 3.0731 0.0000
0.0000 0.0000 38.7372
Sr Ce Pm
3 6 3
Cartesian
0.0000 0.0000 0.0000 Sr
0.0000 2.0488 25.8248 Sr
1.7743 1.0244 12.9124 Sr
0.0000 0.0000 3.5047 Ce
0.0000 0.0000 35.2324 Ce
0.0000 2.0488 22.3200 Ce
0.0000 2.0488 29.3295 Ce
1.7743 1.0244 9.4076 Ce
1.7743 1.0244 16.4172 Ce
0.0000 0.0000 19.3686 Pm
0.0000 2.0488 6.4562 Pm
1.7743 1.0244 32.2810 Pm
```



Entry 7:
Theoretical powder diffractogram
Compound: Sr3Ce2PmTe6
Radiation: a wavelength of 1.5418 Å
Structure: a crystal structure in Alexandria, relaxed with GGA-PBE
Kinematic intensities with the Lorentz-polarization factor, no thermal factor.

Principal peaks in the range 2θ = 15–90°, sorted by position:
- 2θ = 27.36°, intensity 1000
- 2θ = 38.69°, intensity 392
- 2θ = 39.48°, intensity 375
- 2θ = 48.71°, intensity 203
- 2θ = 63.30°, intensity 179
- 2θ = 64.42°, intensity 174

Structure:
```
Sr3Ce2PmTe6
1.0
10.1208 -2.2825 0.0000
10.1208 2.2825 0.0000
-2.3963 0.0000 8.9968
Sr Ce Pm Te
3 2 1 6
Cartesian
0.0000 0.0000 0.0000 Sr
5.1528 0.0000 5.9930 Sr
12.6926 0.0000 3.0039 Sr
6.3470 0.0000 1.5010 Ce
11.4983 0.0000 7.4959 Ce
-1.1981 0.0000 4.4984 Pm
1.9099 0.0000 5.2823 Te
3.2191 0.0000 0.7090 Te
9.4689 0.0000 2.3125 Te
8.3764 0.0000 6.6844 Te
14.6262 0.0000 8.2879 Te
15.9355 0.0000 3.7145 Te
```



Entry 8:
Theoretical powder diffractogram
Compound: TbCePm5
Radiation: a wavelength of 1.5418 Å
Structure: a crystal structure in Alexandria, relaxed with GGA-PBE
Kinematic intensities with the Lorentz-polarization factor, no thermal factor.

Principal peaks in the range 2θ = 15–90°, sorted by position:
- 2θ = 15.26°, intensity 1000
- 2θ = 20.15°, intensity 381
- 2θ = 29.74°, intensity 979
- 2θ = 30.71°, intensity 525
- 2θ = 30.88°, intensity 517
- 2θ = 35.08°, intensity 243

Structure:
```
TbCePm5
1.0
11.5842 0.0000 0.0000
0.0000 8.8120 0.0000
-0.0149 0.0000 5.8229
Tb Ce Pm
2 2 10
Cartesian
0.0000 0.0000 0.0000 Tb
5.7921 4.4060 0.0000 Tb
-0.0074 4.4060 2.9114 Ce
5.7847 0.0000 2.9114 Ce
-0.0074 1.6819 2.9114 Pm
0.0000 4.4060 0.0000 Pm
-0.0074 7.1301 2.9114 Pm
2.8570 4.4060 2.9230 Pm
2.9202 0.0000 2.8998 Pm
5.7921 0.0000 0.0000 Pm
5.7847 2.7241 2.9114 Pm
5.7847 6.0879 2.9114 Pm
8.6491 0.0000 2.9230 Pm
8.7123 4.4060 2.8998 Pm
```



Entry 9:
Theoretical powder diffractogram
Compound: Tb7CePm2
Radiation: a wavelength of 1.5418 Å
Structure: a crystal structure in Alexandria, relaxed with GGA-PBE
Kinematic intensities with the Lorentz-polarization factor, no thermal factor.

Principal peaks in the range 2θ = 15–90°, sorted by position:
- 2θ = 29.30°, intensity 409
- 2θ = 29.83°, intensity 681
- 2θ = 30.90°, intensity 822
- 2θ = 31.80°, intensity 356
- 2θ = 32.95°, intensity 758
- 2θ = 33.06°, intensity 1000

Structure:
```
Tb7CePm2
1.0
3.2900 -14.4738 0.0000
3.2900 14.4738 0.0000
0.0000 0.0000 3.4646
Tb Ce Pm
7 1 2
Cartesian
0.0000 0.0000 0.0000 Tb
1.6721 2.8352 0.0000 Tb
3.2900 5.4092 1.7323 Tb
1.6721 -2.8352 0.0000 Tb
4.9079 2.8352 0.0000 Tb
3.2900 -5.4092 1.7323 Tb
4.9079 -2.8352 0.0000 Tb
3.2900 0.0000 1.7323 Ce
3.2900 8.5267 0.0000 Pm
3.2900 -8.5267 0.0000 Pm
```



Entry 10:
Theoretical powder diffractogram
Compound: Tb3CePm12
Radiation: a wavelength of 1.5418 Å
Structure: a crystal structure in Alexandria, relaxed with GGA-PBE
Kinematic intensities with the Lorentz-polarization factor, no thermal factor.

Principal peaks in the range 2θ = 15–90°, sorted by position:
- 2θ = 30.17°, intensity 1000
- 2θ = 34.98°, intensity 507
- 2θ = 50.31°, intensity 362
- 2θ = 59.79°, intensity 431
- 2θ = 81.84°, intensity 176
- 2θ = 84.45°, intensity 164

Structure:
```
Tb3CePm12
1.0
5.1311 0.0000 0.0000
0.0000 5.1311 0.0000
0.0000 0.0000 20.5126
Tb Ce Pm
3 1 12
Cartesian
0.0000 0.0000 0.0000 Tb
0.0000 0.0000 5.1377 Tb
0.0000 0.0000 15.3749 Tb
0.0000 0.0000 10.2563 Ce
0.0000 2.5656 2.5705 Pm
0.0000 2.5656 7.7165 Pm
0.0000 2.5656 12.7961 Pm
0.0000 2.5656 17.9421 Pm
2.5656 0.0000 2.5705 Pm
2.5656 0.0000 7.7165 Pm
2.5656 0.0000 12.7961 Pm
2.5656 0.0000 17.9421 Pm
2.5656 2.5656 0.0000 Pm
2.5656 2.5656 5.1047 Pm
2.5656 2.5656 10.2563 Pm
2.5656 2.5656 15.4079 Pm
```



Entry 11:
Theoretical powder diffractogram
Compound: Tb6CePm4
Radiation: a wavelength of 1.5418 Å
Structure: a crystal structure in Alexandria, relaxed with GGA-PBE
Kinematic intensities with the Lorentz-polarization factor, no thermal factor.

Principal peaks in the range 2θ = 15–90°, sorted by position:
- 2θ = 28.30°, intensity 420
- 2θ = 28.86°, intensity 654
- 2θ = 30.56°, intensity 1000
- 2θ = 34.25°, intensity 837
- 2θ = 38.34°, intensity 326
- 2θ = 40.30°, intensity 377

Structure:
```
Tb6CePm4
1.0
-3.3201 3.3201 8.5136
3.3201 -3.3201 8.5136
3.3201 3.3201 -8.5136
Tb Ce Pm
6 1 4
Cartesian
3.3201 0.0000 0.0000 Tb
2.1116 -2.1116 6.3595 Tb
1.2085 1.2085 2.1541 Tb
0.0000 3.3201 0.0000 Tb
-2.1116 2.1116 6.3595 Tb
2.1116 2.1116 10.6677 Tb
0.0000 0.0000 8.5136 Ce
2.0601 2.0601 -2.9683 Pm
1.2601 -1.2601 11.4819 Pm
1.2601 1.2601 5.5452 Pm
-1.2601 1.2601 11.4819 Pm
```



Entry 12:
Theoretical powder diffractogram
Compound: Tb4CePm2
Radiation: a wavelength of 1.5418 Å
Structure: a crystal structure in Alexandria, relaxed with GGA-PBE
Kinematic intensities with the Lorentz-polarization factor, no thermal factor.

Principal peaks in the range 2θ = 15–90°, sorted by position:
- 2θ = 28.64°, intensity 332
- 2θ = 30.89°, intensity 618
- 2θ = 32.23°, intensity 1000
- 2θ = 32.95°, intensity 971
- 2θ = 50.65°, intensity 420
- 2θ = 60.51°, intensity 493

Structure:
```
Tb4CePm2
1.0
6.2475 0.0000 0.0000
0.0000 3.6018 0.0000
-2.1002 0.0000 20.2724
Tb Ce Pm
8 2 4
Cartesian
0.0000 0.0000 0.0000 Tb
-1.0485 1.8009 11.5560 Tb
1.0255 1.8009 14.4033 Tb
2.0865 0.0000 5.8140 Tb
3.1237 1.8009 0.0000 Tb
2.0752 0.0000 11.5560 Tb
4.1493 0.0000 14.4033 Tb
5.2102 1.8009 5.8140 Tb
1.0050 1.8009 8.6794 Ce
4.1287 0.0000 8.6794 Ce
-1.0351 1.8009 17.3412 Pm
1.0252 1.8009 2.9006 Pm
2.0886 0.0000 17.3412 Pm
4.1489 0.0000 2.9006 Pm
```



Entry 13:
Theoretical powder diffractogram
Compound: Tb6CePm12
Radiation: a wavelength of 1.5418 Å
Structure: a crystal structure in Alexandria, relaxed with GGA-PBE
Kinematic intensities with the Lorentz-polarization factor, no thermal factor.

Principal peaks in the range 2θ = 15–90°, sorted by position:
- 2θ = 30.84°, intensity 673
- 2θ = 31.26°, intensity 909
- 2θ = 31.51°, intensity 1000
- 2θ = 31.74°, intensity 701
- 2θ = 32.30°, intensity 749
- 2θ = 32.74°, intensity 616

Structure:
```
Tb6CePm12
1.0
8.9450 0.0000 0.0000
-4.2124 8.0656 0.0000
-2.1420 -4.0648 8.9896
Tb Ce Pm
6 1 12
Cartesian
-1.0198 0.6114 2.9113 Tb
-2.3297 1.9758 7.5606 Tb
1.9719 -1.0259 4.0896 Tb
0.6188 5.0267 4.9000 Tb
4.9204 2.0249 1.4291 Tb
3.6105 3.3894 6.0784 Tb
2.3663 4.0328 0.0000 Ce
-1.4397 -1.2733 6.2486 Pm
-2.3379 3.4758 4.3796 Pm
-0.9989 3.8198 1.2572 Pm
1.7320 -0.1512 0.5519 Pm
1.8372 -2.6237 7.1307 Pm
0.5855 1.5901 5.9749 Pm
2.0052 2.4107 3.0148 Pm
0.7534 6.6245 1.8589 Pm
0.8587 4.1519 8.4377 Pm
3.5896 0.1810 7.7325 Pm
4.9286 0.5250 4.6100 Pm
4.0304 5.2741 2.7411 Pm
```